(1)
The following is a simulated powder diffraction line list of LiHoCu5. It was derived from a cell relaxed with GGA-PBE, using CuKα.

Lattice parameters (Å, degrees): 8.0397 5.0620 10.1912 90.00 90.00 90.00
Space group Pnma (No. 62)
Asymmetric unit:
Li 0.1387 0.2500 0.1405 x4
Ho 0.2464 0.7500 0.9370 x4
Cu 0.0606 0.2500 0.9030 x4
Cu 0.0687 0.5059 0.6895 x8
Cu 0.0946 0.7500 0.4828 x4
Cu 0.1827 0.7500 0.2491 x4

The 6 most intense peaks (5° ≤ 2θ ≤ 70°), by angle:
two_theta  Rel. int.  (hkl)
20.64  19  1 0 2
22.52  22  1 1 1
37.01  27  1 0 4
39.03  100  3 1 1
41.39  20  1 2 2
45.98  24  1 0 5



(2)
The following is a simulated powder diffraction line list of LiHo2CuSi4O12. It was derived from a cell relaxed with GGA-PBE, using CuKα.

Lattice parameters (Å, degrees): 5.2541 7.1572 7.5913 66.36 83.50 76.49
Space group P1 (No. 1)
Asymmetric unit:
Li 0.0000 0.0000 0.0000 x1
Ho 0.4942 0.0433 0.9780 x1
Ho 0.5527 0.5900 0.8505 x1
Cu 0.5440 0.8158 0.4178 x1
Si 0.0066 0.9901 0.6391 x1
Si 0.0539 0.6256 0.2015 x1
Si 0.1366 0.4015 0.6355 x1
Si 0.9093 0.2311 0.2044 x1
O 0.1067 0.1474 0.7262 x1
O 0.1663 0.0880 0.1537 x1
O 0.2010 0.4724 0.4037 x1
O 0.2727 0.7386 0.0461 x1
O 0.2771 0.8327 0.6145 x1
O 0.3838 0.3756 0.7613 x1
O 0.6737 0.2475 0.0708 x1
O 0.7832 0.8969 0.7988 x1
O 0.7987 0.8077 0.2111 x1
O 0.8559 0.1428 0.4367 x1
O 0.8724 0.5493 0.6670 x1
O 0.9344 0.4786 0.1223 x1

The 6 most intense peaks (5° ≤ 2θ ≤ 70°), by angle:
two_theta  Rel. int.  (hkl)
12.73  91  0 0 1
17.36  45  1 0 0
21.82  45  1 0 -1
25.16  44  -1 1 1
27.49  100  1 2 1
30.80  52  1 0 2



(3)
The following is a simulated powder diffraction line list of LiHo2CuSi4O12. It was derived from a cell relaxed with GGA-PBE, using CuKα.

Lattice parameters (Å, degrees): 5.0282 7.1842 7.9762 63.41 81.77 76.88
Space group P-1 (No. 2)
Asymmetric unit:
Li 0.0000 0.0000 0.0000 x1
Ho 0.4960 0.2149 0.5740 x2
Cu 0.5000 0.0000 0.0000 x1
Si 0.0588 0.8143 0.7821 x2
Si 0.1015 0.5902 0.2154 x2
O 0.0209 0.3581 0.2755 x2
O 0.1600 0.2369 0.7718 x2
O 0.2034 0.6956 0.9888 x2
O 0.2193 0.0242 0.1944 x2
O 0.2829 0.9296 0.6225 x2
O 0.3411 0.5464 0.3531 x2

The 6 most intense peaks (5° ≤ 2θ ≤ 70°), by angle:
two_theta  Rel. int.  (hkl)
12.42  69  0 0 1
18.14  46  1 0 0
22.53  49  1 0 -1
25.50  50  -1 1 1
27.77  100  1 2 1
30.32  59  1 0 2



(4)
The following is a simulated powder diffraction line list of LiHo2CuSi4O12. It was derived from a cell relaxed with GGA-PBE, using CuKα.

Lattice parameters (Å, degrees): 5.0589 7.1338 7.6720 65.90 84.70 76.86
Space group P1 (No. 1)
Asymmetric unit:
Li 0.0000 0.0000 0.0000 x1
Ho 0.0604 0.8363 0.6458 x1
Ho 0.1131 0.4000 0.5100 x1
Cu 0.1091 0.5810 0.0947 x1
Si 0.4857 0.0413 0.8638 x1
Si 0.5442 0.7945 0.2998 x1
Si 0.6262 0.4438 0.8561 x1
Si 0.6912 0.2010 0.2921 x1
O 0.2287 0.0610 0.7412 x1
O 0.3118 0.6948 0.4476 x1
O 0.3636 0.6111 0.8797 x1
O 0.3847 0.9556 0.0916 x1
O 0.4185 0.3584 0.3078 x1
O 0.5092 0.2931 0.7747 x1
O 0.6528 0.9520 0.3776 x1
O 0.7761 0.9015 0.8548 x1
O 0.7771 0.2633 0.0615 x1
O 0.8195 0.6370 0.2732 x1
O 0.8626 0.5435 0.7122 x1
O 0.9390 0.1747 0.4262 x1

The 6 most intense peaks (5° ≤ 2θ ≤ 70°), by angle:
two_theta  Rel. int.  (hkl)
12.64  78  0 0 1
18.01  55  1 0 0
22.06  78  1 0 -1
25.44  44  -1 1 1
27.91  100  1 2 1
31.35  81  1 0 2